Structure and simulated powder diffractogram of CoPH9C4NO7 (DFT lattice parameters and positions (GGA+U); CuKα).
Peak positions follow from Bragg's law for the DFT cell and can differ from measured ones.

Structure:
```
CoPH9C4NO7
1.0
6.931 0.000 0.000
-2.952 6.783 0.000
-1.286 -3.646 8.497
Co P H C N O
2 2 18 8 2 14
Direct
0.216 0.175 0.316
0.784 0.825 0.684
0.366 0.672 0.398
0.634 0.328 0.602
0.082 0.467 0.903
0.143 0.619 0.380
0.227 0.734 0.802
0.263 0.519 0.703
0.308 0.378 0.053
0.309 0.708 0.045
0.328 0.297 0.858
0.476 0.748 0.839
0.477 0.971 0.354
0.523 0.029 0.646
0.524 0.252 0.161
0.672 0.703 0.142
0.691 0.292 0.955
0.692 0.622 0.947
0.737 0.481 0.297
0.773 0.266 0.198
0.857 0.381 0.620
0.918 0.533 0.097
0.020 0.111 0.555
0.092 0.970 0.981
0.261 0.567 0.939
0.375 0.437 0.967
0.625 0.563 0.033
0.739 0.433 0.061
0.908 0.030 0.019
0.980 0.889 0.445
0.310 0.644 0.812
0.690 0.356 0.188
0.051 0.879 0.326
0.069 0.871 0.838
0.121 0.269 0.520
0.251 0.023 0.096
0.385 0.471 0.323
0.455 0.817 0.305
0.483 0.800 0.576
0.517 0.200 0.424
0.545 0.183 0.695
0.615 0.529 0.677
0.749 0.977 0.904
0.879 0.731 0.480
0.931 0.129 0.162
0.949 0.121 0.674
```

Top 12 peaks for 2θ from 15° to 90°, in order of rising 2θ:
15.22 deg, I 100, hkl 1 0 -1
20.34 deg, I 23, hkl 1 0 1
21.69 deg, I 53, hkl 1 0 -2
22.68 deg, I 35, hkl 1 1 -1
25.28 deg, I 37, hkl 1 -2 0
25.96 deg, I 30, hkl 2 -1 0
26.29 deg, I 60, hkl 0 2 -1
29.00 deg, I 33, hkl 1 0 2
29.19 deg, I 66, hkl 2 -1 1
31.56 deg, I 33, hkl 0 0 3
35.02 deg, I 25, hkl 1 2 -2
35.51 deg, I 24, hkl 2 -1 2